# CsCa2SnI8
Calculated powder XRD pattern, copper Kα. Input: a DFT-relaxed cell (GGA-PBE, Alexandria).

Structural model:
```
data_CsCa2SnI8
_chemical_formula_sum 'Cs1 Ca2 Sn1 I8'
_cell_length_a 7.102
_cell_length_b 7.721
_cell_length_c 10.355
_cell_angle_alpha 89.97
_cell_angle_beta 89.95
_cell_angle_gamma 89.07
_symmetry_space_group_name_H-M 'P -1'
_symmetry_Int_Tables_number 2
loop_
_symmetry_equiv_pos_as_xyz
'x,y,z'
'-x,-y,-z'
loop_
_atom_site_label
_atom_site_type_symbol
_atom_site_fract_x
_atom_site_fract_y
_atom_site_fract_z
Cs1 Cs 0.000 0.000 0.000
Ca1 Ca 0.500 0.500 0.273
Sn1 Sn 0.000 0.000 0.500
I1 I 0.248 0.349 0.500
I2 I 0.255 0.459 0.000
I3 I 0.263 0.842 0.712
I4 I 0.263 0.843 0.288
```

Most intense lines, 15° ≤ 2θ ≤ 90°, by angle:
- 16.8 deg, I = 383
- 21.2 deg, I = 268
- 24.1 deg, I = 296
- 24.3 deg, I = 1000
- 25.1 deg, I = 290
- 26.1 deg, I = 595
- 26.5 deg, I = 258
- 32.6 deg, I = 707
- 32.9 deg, I = 535
- 34.6 deg, I = 420
- 39.1 deg, I = 283
- 43.8 deg, I = 319